No. 1
This entry pairs a crystal structure of Er8CdIn5 with its calculated X-ray powder pattern. Radiation: a wavelength of 1.5418 Å. Structure: the GGA-PBE geometry in Alexandria.
Lines closer than 0.1° are merged.

Largest 6 diffraction maxima, most intense first, 15 to 90 degrees two-theta:
- 2θ 30.63, I = 100, hkl 3 1 0
- 2θ 36.35, I = 74, hkl 2 1 3
- 2θ 30.51, I = 50, hkl 1 0 3
- 2θ 36.42, I = 37, hkl 3 2 1
- 2θ 61.97, I = 25, hkl 1 6 1
- 2θ 50.39, I = 23, hkl 3 4 1

Crystal structure
```
data_Er8CdIn5
_chemical_formula_sum 'Er16 Cd2 In10'
_cell_length_a 9.226
_cell_length_b 9.226
_cell_length_c 9.271
_cell_angle_alpha 90.00
_cell_angle_beta 90.00
_cell_angle_gamma 90.00
_space_group_name_H-M_alt 'I -4'
_space_group_IT_number 82
loop_
_space_group_symop_operation_xyz
'x,y,z'
'y,-x,-z'
'-x,-y,z'
'-y,x,-z'
'x+1/2,y+1/2,z+1/2'
'y+1/2,-x+1/2,-z+1/2'
'-x+1/2,-y+1/2,z+1/2'
'-y+1/2,x+1/2,-z+1/2'
loop_
_atom_site_label
_atom_site_type_symbol
_atom_site_fract_x
_atom_site_fract_y
_atom_site_fract_z
Er1 Er 0.072 0.328 0.044
Er2 Er 0.079 0.178 0.691
Cd1 Cd 0.000 0.000 0.000
In1 In 0.000 0.500 0.750
In2 In 0.127 0.251 0.367
```



No. 2
This entry pairs a crystal structure of PaBeRu3 with its calculated X-ray powder pattern. Radiation: a wavelength of 1.5418 Å. Structure: the GGA-PBE geometry in Alexandria.
Lines closer than 0.1° are merged.

Largest 6 diffraction maxima, most intense first, 15 to 90 degrees two-theta:
- 2θ 36.76, I = 100, hkl 1 1 1
- 2θ 42.70, I = 52, hkl 2 0 0
- 2θ 74.28, I = 38, hkl 3 1 1
- 2θ 61.98, I = 34, hkl 2 2 0
- 2θ 29.84, I = 15, hkl 1 1 0
- 2θ 20.98, I = 14, hkl 1 0 0

Crystal structure
```
data_PaBeRu3
_chemical_formula_sum 'Pa1 Be1 Ru3'
_cell_length_a 4.235
_cell_length_b 4.235
_cell_length_c 4.235
_cell_angle_alpha 90.00
_cell_angle_beta 90.00
_cell_angle_gamma 90.00
_space_group_name_H-M_alt 'P m -3 m'
_space_group_IT_number 221
_space_group_name_Hall '-P 4 2 3'
loop_
_atom_site_label
_atom_site_type_symbol
_atom_site_fract_x
_atom_site_fract_y
_atom_site_fract_z
Pa1 Pa 0.000 0.000 0.000
Be1 Be 0.500 0.500 0.500
Ru1 Ru 0.000 0.500 0.500
```



No. 3
This entry pairs a crystal structure of Ac2NpGa2N6 with its calculated X-ray powder pattern. Radiation: a wavelength of 1.5418 Å. Structure: the GGA-PBE geometry in Alexandria.
Lines closer than 0.1° are merged.

Largest 6 diffraction maxima, most intense first, 15 to 90 degrees two-theta:
- 2θ 29.86, I = 100, hkl 1 1 0
- 2θ 31.46, I = 84, hkl 0 1 5
- 2θ 54.02, I = 39, hkl 1 2 5
- 2θ 43.93, I = 36, hkl 2 0 5
- 2θ 17.89, I = 26, hkl 1 0 1
- 2θ 27.13, I = 25, hkl 1 0 4

Crystal structure
```
data_Ac2NpGa2N6
_chemical_formula_sum 'Ac6 Np3 Ga6 N18'
_cell_length_a 5.9847
_cell_length_b 5.9847
_cell_length_c 17.0062
_cell_angle_alpha 90.00
_cell_angle_beta 90.00
_cell_angle_gamma 120.00
_space_group_name_H-M_alt 'R -3 m'
_space_group_IT_number 166
_space_group_name_Hall '-R 3 2"'
loop_
_atom_site_label
_atom_site_type_symbol
_atom_site_fract_x
_atom_site_fract_y
_atom_site_fract_z
Ac1 Ac 0.0000 0.0000 0.2094
Np1 Np 0.0000 0.0000 0.0000
Ga1 Ga 0.0000 0.0000 0.4152
N1 N 0.0228 0.5114 0.7519
```



No. 4
This entry pairs a crystal structure of EuScTlBi with its calculated X-ray powder pattern. Radiation: a wavelength of 1.5418 Å. Structure: the GGA-PBE geometry in Alexandria.
Lines closer than 0.1° are merged.

Largest 6 diffraction maxima, most intense first, 15 to 90 degrees two-theta:
- 2θ 33.00, I = 100, hkl 2 2 0
- 2θ 58.94, I = 38, hkl 4 2 2
- 2θ 47.36, I = 18, hkl 4 0 0
- 2θ 78.85, I = 17, hkl 6 2 0
- 2θ 23.17, I = 14, hkl 2 0 0
- 2θ 69.23, I = 12, hkl 4 4 0

Crystal structure
```
data_EuScTlBi
_chemical_formula_sum 'Eu4 Sc4 Tl4 Bi4'
_cell_length_a 7.677
_cell_length_b 7.677
_cell_length_c 7.677
_cell_angle_alpha 90.00
_cell_angle_beta 90.00
_cell_angle_gamma 90.00
_space_group_name_H-M_alt 'F -4 3 m'
_space_group_IT_number 216
_space_group_name_Hall 'F -4 2 3'
loop_
_atom_site_label
_atom_site_type_symbol
_atom_site_fract_x
_atom_site_fract_y
_atom_site_fract_z
Eu1 Eu 0.000 0.000 0.000
Sc1 Sc 0.000 0.000 0.500
Tl1 Tl 0.250 0.250 0.250
Bi1 Bi 0.250 0.250 0.750
```



No. 5
This entry pairs a crystal structure of Na5PrTe4 with its calculated X-ray powder pattern. Radiation: a wavelength of 1.5418 Å. Structure: the GGA-PBE geometry in Alexandria.
Lines closer than 0.1° are merged.

Largest 6 diffraction maxima, most intense first, 15 to 90 degrees two-theta:
- 2θ 29.63, I = 100, hkl 6 0 -1
- 2θ 22.04, I = 80, hkl 1 1 1
- 2θ 40.37, I = 39, hkl 3 1 -3
- 2θ 33.11, I = 36, hkl 3 1 2
- 2θ 37.96, I = 32, hkl 7 1 0
- 2θ 21.06, I = 30, hkl 4 0 -1

Crystal structure
```
data_Na5PrTe4
_chemical_formula_sum 'Na10 Pr2 Te8'
_cell_length_a 19.029
_cell_length_b 4.892
_cell_length_c 7.955
_cell_angle_alpha 90.00
_cell_angle_beta 94.50
_cell_angle_gamma 90.00
_space_group_name_H-M_alt 'C 1 2/m 1'
_space_group_IT_number 12
loop_
_space_group_symop_operation_xyz
'x,y,z'
'-x,-y,-z'
'-x,y,-z'
'x,-y,z'
'x+1/2,y+1/2,z'
'-x+1/2,-y+1/2,-z'
'-x+1/2,y+1/2,-z'
'x+1/2,-y+1/2,z'
loop_
_atom_site_label
_atom_site_type_symbol
_atom_site_fract_x
_atom_site_fract_y
_atom_site_fract_z
Na1 Na 0.000 0.000 0.000
Na2 Na 0.120 0.500 0.126
Na3 Na 0.186 0.500 0.578
Pr1 Pr 0.000 0.000 0.500
Te1 Te 0.049 0.500 0.759
Te2 Te 0.151 0.000 0.338
```



No. 6
This entry pairs a crystal structure of Cs3TmTe3 with its calculated X-ray powder pattern. Radiation: a wavelength of 1.5418 Å. Structure: the GGA-PBE geometry in Alexandria.
Lines closer than 0.1° are merged.

Largest 6 diffraction maxima, most intense first, 15 to 90 degrees two-theta:
- 2θ 22.02, I = 100, hkl 1 3 1
- 2θ 26.56, I = 69, hkl 3 1 -1
- 2θ 28.50, I = 54, hkl 1 3 2
- 2θ 24.36, I = 42, hkl 0 4 1
- 2θ 28.83, I = 42, hkl 2 0 2
- 2θ 29.38, I = 41, hkl 1 1 -3

Crystal structure
```
data_Cs3TmTe3
_chemical_formula_sum 'Cs12 Tm4 Te12'
_cell_length_a 10.444
_cell_length_b 15.962
_cell_length_c 9.325
_cell_angle_alpha 90.00
_cell_angle_beta 102.01
_cell_angle_gamma 90.00
_space_group_name_H-M_alt 'C 1 2/m 1'
_space_group_IT_number 12
loop_
_space_group_symop_operation_xyz
'x,y,z'
'-x,-y,-z'
'-x,y,-z'
'x,-y,z'
'x+1/2,y+1/2,z'
'-x+1/2,-y+1/2,-z'
'-x+1/2,y+1/2,-z'
'x+1/2,-y+1/2,z'
loop_
_atom_site_label
_atom_site_type_symbol
_atom_site_fract_x
_atom_site_fract_y
_atom_site_fract_z
Cs1 Cs 0.000 0.178 0.000
Cs2 Cs 0.000 0.249 0.500
Cs3 Cs 0.113 0.500 0.862
Tm1 Tm 0.171 0.000 0.644
Te1 Te 0.102 0.000 0.319
Te2 Te 0.197 0.353 0.224
```



No. 7
This entry pairs a crystal structure of PuAgI5 with its calculated X-ray powder pattern. Radiation: a wavelength of 1.5418 Å. Structure: the GGA-PBE geometry in Alexandria.
Lines closer than 0.1° are merged.

Largest 6 diffraction maxima, most intense first, 15 to 90 degrees two-theta:
- 2θ 16.93, I = 100, hkl 1 1 1
- 2θ 17.61, I = 48, hkl 2 0 -2
- 2θ 36.78, I = 48, hkl 0 4 2
- 2θ 25.56, I = 44, hkl 1 3 -1
- 2θ 30.10, I = 43, hkl 2 0 2
- 2θ 28.40, I = 34, hkl 2 2 -3

Crystal structure
```
data_PuAgI5
_chemical_formula_sum 'Pu4 Ag4 I20'
_cell_length_a 11.735
_cell_length_b 11.130
_cell_length_c 11.650
_cell_angle_alpha 90.00
_cell_angle_beta 118.96
_cell_angle_gamma 90.00
_space_group_name_H-M_alt 'C 1 2/c 1'
_space_group_IT_number 15
loop_
_space_group_symop_operation_xyz
'x,y,z'
'-x,-y,-z'
'-x,y,-z+1/2'
'x,-y,z+1/2'
'x+1/2,y+1/2,z'
'-x+1/2,-y+1/2,-z'
'-x+1/2,y+1/2,-z+1/2'
'x+1/2,-y+1/2,z+1/2'
loop_
_atom_site_label
_atom_site_type_symbol
_atom_site_fract_x
_atom_site_fract_y
_atom_site_fract_z
Pu1 Pu 0.250 0.250 0.000
Ag1 Ag 0.000 0.133 0.250
I1 I 0.000 0.319 0.750
I2 I 0.120 0.307 0.160
I3 I 0.171 0.008 0.479
```



No. 8
This entry pairs a crystal structure of Na2GaBiS4 with its calculated X-ray powder pattern. Radiation: a wavelength of 1.5418 Å. Structure: the GGA-PBE geometry in Alexandria.
Lines closer than 0.1° are merged.

Largest 6 diffraction maxima, most intense first, 15 to 90 degrees two-theta:
- 2θ 18.52, I = 100, hkl 0 1 1
- 2θ 22.57, I = 66, hkl 2 1 0
- 2θ 26.96, I = 65, hkl 2 1 1
- 2θ 29.33, I = 62, hkl 0 0 2
- 2θ 40.04, I = 55, hkl 2 3 0
- 2θ 19.42, I = 52, hkl 2 0 0

Crystal structure
```
data_Na2GaBiS4
_chemical_formula_sum 'Na4 Ga2 Bi2 S8'
_cell_length_a 9.144
_cell_length_b 7.762
_cell_length_c 6.089
_cell_angle_alpha 90.00
_cell_angle_beta 90.00
_cell_angle_gamma 90.00
_space_group_name_H-M_alt 'P m n 21'
_space_group_IT_number 31
loop_
_space_group_symop_operation_xyz
'x,y,z'
'-x+1/2,-y,z+1/2'
'-x,y,z'
'x+1/2,-y,z+1/2'
loop_
_atom_site_label
_atom_site_type_symbol
_atom_site_fract_x
_atom_site_fract_y
_atom_site_fract_z
Na1 Na 0.249 0.168 0.000
Ga1 Ga 0.000 0.662 0.046
Bi1 Bi 0.000 0.324 0.516
S1 S 0.000 0.372 0.944
S2 S 0.000 0.644 0.429
S3 S 0.211 0.808 0.967
```



No. 9
This entry pairs a crystal structure of LiPm2ZnGa6 with its calculated X-ray powder pattern. Radiation: a wavelength of 1.5418 Å. Structure: the GGA-PBE geometry in Alexandria.
Lines closer than 0.1° are merged.

Largest 6 diffraction maxima, most intense first, 15 to 90 degrees two-theta:
- 2θ 37.45, I = 100, hkl 0 2 7
- 2θ 35.11, I = 99, hkl 2 0 5
- 2θ 32.97, I = 57, hkl 0 1 11
- 2θ 28.06, I = 47, hkl 1 1 0
- 2θ 32.20, I = 45, hkl 1 1 6
- 2θ 58.01, I = 38, hkl 2 2 0

Crystal structure
```
data_LiPm2ZnGa6
_chemical_formula_sum 'Li6 Pm12 Zn6 Ga36'
_cell_length_a 6.3600
_cell_length_b 6.3600
_cell_length_c 34.3298
_cell_angle_alpha 90.00
_cell_angle_beta 90.00
_cell_angle_gamma 120.00
_space_group_name_H-M_alt 'R -3 m'
_space_group_IT_number 166
_space_group_name_Hall '-R 3 2"'
loop_
_atom_site_label
_atom_site_type_symbol
_atom_site_fract_x
_atom_site_fract_y
_atom_site_fract_z
Li1 Li 0.0000 0.0000 0.0000
Li2 Li 0.0000 0.0000 0.5000
Pm1 Pm 0.0000 0.0000 0.1077
Pm2 Pm 0.0000 0.0000 0.2850
Zn1 Zn 0.0000 0.0000 0.4279
Ga1 Ga 0.0438 0.5219 0.2987
Ga2 Ga 0.0650 0.5325 0.8655
```



Q: Number 4 is which compound?
A: EuScTlBi